# K2PdO4
Simulated powder diffractogram, copper Kα. Input: the GGA-PBE geometry in the Materials Project.
Peak positions follow from Bragg's law for the DFT cell and can differ from measured ones.

```
data_K2PdO4
_chemical_formula_sum 'K4 Pd2 O8'
_symmetry_space_group_name_H-M 'P 1 21 1'
_symmetry_Int_Tables_number 4
_cell_length_a 5.3768
_cell_length_b 6.9279
_cell_length_c 7.2959
_cell_angle_alpha 90.00
_cell_angle_beta 107.23
_cell_angle_gamma 90.00
loop_
_symmetry_equiv_pos_as_xyz
'x,y,z'
'-x,y+1/2,-z'
loop_
_atom_site_label
_atom_site_fract_x
_atom_site_fract_y
_atom_site_fract_z
K1 0.1714 0.0000 0.0880
K2 0.1787 0.6208 0.5788
Pd1 0.4885 0.0717 0.7591
O1 0.2081 0.2401 0.7416
O2 0.2460 0.3898 0.2525
O3 0.3280 0.6316 0.9842
O4 0.3516 0.9917 0.4966
```

Principal peaks in the range 2θ from 10° to 90°, in order of rising 2θ:
17.27°, intensity 46, (1 0 0)
18.06°, intensity 82, (0 1 1)
22.28°, intensity 57, (1 1 -1)
25.72°, intensity 72, (0 2 0)
26.31°, intensity 63, (1 0 -2)
27.62°, intensity 100, (1 1 1)
35.92°, intensity 77, (2 1 -1)
40.98°, intensity 56, (0 1 3)